Structure and calculated X-ray powder pattern of NiH2SeO5 (the PBE+U geometry in Alexandria; λ = 1.5418 Å (Cu Kα)).

Largest 10 diffraction maxima, low angle first, 2θ from 10° to 90°:
d 4.945, 2θ 17.94, intensity 1000
d 3.503, 2θ 25.43, intensity 521
d 3.466, 2θ 25.71, intensity 854
d 3.445, 2θ 25.86, intensity 454
d 3.092, 2θ 28.87, intensity 483
d 2.648, 2θ 33.85, intensity 341
d 2.620, 2θ 34.22, intensity 581
d 2.489, 2θ 36.08, intensity 343
d 2.206, 2θ 40.91, intensity 229
d 1.643, 2θ 55.98, intensity 199

Atomic structure:
```
data_NiH2SeO5
_chemical_formula_sum 'Ni4 H8 Se4 O20'
_cell_length_a 6.9625
_cell_length_b 8.1576
_cell_length_c 7.6488
_cell_angle_alpha 90.00
_cell_angle_beta 116.61
_cell_angle_gamma 90.00
_space_group_name_H-M_alt 'C 1 2/c 1'
_space_group_IT_number 15
_space_group_name_Hall '-C 2yc'
loop_
_atom_site_label
_atom_site_type_symbol
_atom_site_fract_x
_atom_site_fract_y
_atom_site_fract_z
Ni1 Ni 0.2500 0.2500 0.0000
H1 H 0.0832 0.0528 0.7026
Se1 Se 0.0000 0.4174 0.2500
O1 O 0.0000 0.1261 0.7500
O2 O 0.0096 0.3027 0.0743
O3 O 0.2227 0.4646 0.8462
```

Structure and calculated X-ray powder pattern of NiH10Se2O10 (the PBE+U geometry in Alexandria; λ = 1.5418 Å (Cu Kα)).

Largest 10 diffraction maxima, low angle first, 2θ from 10° to 90°:
d 6.375, 2θ 13.89, intensity 1000
d 4.498, 2θ 19.74, intensity 106
d 4.050, 2θ 21.95, intensity 152
d 3.654, 2θ 24.36, intensity 234
d 3.378, 2θ 26.39, intensity 401
d 3.159, 2θ 28.25, intensity 196
d 3.077, 2θ 29.02, intensity 104
d 2.786, 2θ 32.13, intensity 187
d 2.720, 2θ 32.93, intensity 332
d 1.798, 2θ 50.78, intensity 109

Atomic structure:
```
data_NiH10Se2O10
_chemical_formula_sum 'Ni4 H40 Se8 O40'
_cell_length_a 14.6519
_cell_length_b 7.6182
_cell_length_c 11.0523
_cell_angle_alpha 90.00
_cell_angle_beta 127.37
_cell_angle_gamma 90.00
_space_group_name_H-M_alt 'C 1 2/c 1'
_space_group_IT_number 15
_space_group_name_Hall '-C 2yc'
loop_
_atom_site_label
_atom_site_type_symbol
_atom_site_fract_x
_atom_site_fract_y
_atom_site_fract_z
Ni1 Ni 0.0000 0.0411 0.2500
H1 H 0.0603 0.3836 0.3340
H2 H 0.0630 0.3039 0.8319
H3 H 0.1737 0.4274 0.0571
H4 H 0.1815 0.2346 0.2233
H5 H 0.2281 0.4830 0.9745
Se1 Se 0.1336 0.1268 0.6118
O1 O 0.0000 0.2270 0.7500
O2 O 0.0000 0.3068 0.2500
O3 O 0.1095 0.0522 0.1831
O4 O 0.1437 0.0370 0.4790
O5 O 0.1533 0.4594 0.9562
O6 O 0.2139 0.3568 0.2325
```

Structure and calculated X-ray powder pattern of UNi2HO6 (the PBE+U geometry in Alexandria; λ = 1.5418 Å (Cu Kα)).

Largest 10 diffraction maxima, low angle first, 2θ from 10° to 90°:
d 4.785, 2θ 18.54, intensity 1000
d 4.439, 2θ 20.00, intensity 700
d 4.360, 2θ 20.37, intensity 662
d 4.287, 2θ 20.72, intensity 681
d 2.843, 2θ 31.47, intensity 389
d 2.819, 2θ 31.74, intensity 365
d 2.810, 2θ 31.84, intensity 334
d 2.709, 2θ 33.07, intensity 437
d 2.632, 2θ 34.07, intensity 355
d 2.592, 2θ 34.61, intensity 335

Atomic structure:
```
data_UNi2HO6
_chemical_formula_sum 'U1 Ni2 H1 O6'
_cell_length_a 5.1864
_cell_length_b 5.2708
_cell_length_c 5.6513
_cell_angle_alpha 92.03
_cell_angle_beta 117.01
_cell_angle_gamma 117.59
_space_group_name_H-M_alt 'P 1'
_space_group_IT_number 1
_space_group_name_Hall 'P 1'
loop_
_atom_site_label
_atom_site_type_symbol
_atom_site_fract_x
_atom_site_fract_y
_atom_site_fract_z
U1 U 0.0000 0.0000 0.0000
Ni1 Ni 0.5892 0.7902 0.3884
Ni2 Ni 0.6094 0.3041 0.9281
H1 H 0.2691 0.5313 0.6436
O1 O 0.1064 0.6996 0.1685
O2 O 0.1105 0.9270 0.7180
O3 O 0.4772 0.4184 0.1605
O4 O 0.4793 0.5507 0.6715
O5 O 0.7457 0.1592 0.7142
O6 O 0.7733 0.0670 0.1857
```